Record 1
Diffraction record for LaPmSm2Hg4. The powder diffractogram is computed, not measured: it uses a cell relaxed with GGA-PBE and Cu Ka.

Top 10 peaks for 15 to 90 degrees two-theta, by angle:
- 23.2 deg, I = 28
- 33.1 deg, I = 1000
- 40.8 deg, I = 10
- 47.5 deg, I = 184
- 53.5 deg, I = 14
- 59.1 deg, I = 384
- 69.4 deg, I = 119
- 79.1 deg, I = 167
- 88.3 deg, I = 11
- 88.5 deg, I = 33

Crystal structure
Cell lengths 9.3883, 9.3883, 9.3883 Å; angles 33.51, 33.51, 33.51 degrees
Sites, in units of the cell vectors:
1 La 0.0000 0.0000 0.0000
2 Pm 0.5000 0.5000 0.5000
3 Sm 0.2496 0.2496 0.2496
4 Sm 0.7504 0.7504 0.7504
5 Hg 0.1264 0.1264 0.1264
6 Hg 0.3768 0.3768 0.3768
7 Hg 0.6232 0.6232 0.6232
8 Hg 0.8736 0.8736 0.8736



Record 2
Diffraction record for La5PrHg. The powder diffractogram is computed, not measured: it uses a cell relaxed with GGA-PBE and Cu Ka.

Top 10 peaks for 15 to 90 degrees two-theta, by angle:
- 27.0 deg, I = 618
- 29.7 deg, I = 475
- 30.4 deg, I = 669
- 30.9 deg, I = 527
- 31.4 deg, I = 624
- 32.2 deg, I = 1000
- 34.1 deg, I = 776
- 34.9 deg, I = 653
- 35.6 deg, I = 605
- 53.1 deg, I = 468

Crystal structure
Cell lengths 8.0265, 8.0265, 11.8901 Å; angles 120.79, 120.79, 49.58 degrees
Sites, in units of the cell vectors:
1 La 0.0118 0.9882 0.7500
2 La 0.0382 0.5427 0.8762
3 La 0.1849 0.6858 0.4467
4 La 0.3142 0.8151 0.0533
5 La 0.4573 0.9618 0.6238
6 La 0.5427 0.0382 0.3762
7 La 0.6858 0.1849 0.9467
8 La 0.8151 0.3142 0.5533
9 La 0.9618 0.4573 0.1238
10 La 0.9882 0.0118 0.2500
11 Pr 0.4897 0.5103 0.7500
12 Pr 0.5103 0.4897 0.2500
13 Hg 0.0000 0.5000 0.5000
14 Hg 0.5000 0.0000 0.0000



Record 3
Diffraction record for LaPr6Hg5. The powder diffractogram is computed, not measured: it uses a cell relaxed with GGA-PBE and Cu Ka.

Top 10 peaks for 15 to 90 degrees two-theta, by angle:
- 32.2 deg, I = 243
- 32.4 deg, I = 1000
- 32.8 deg, I = 251
- 46.4 deg, I = 91
- 46.6 deg, I = 176
- 57.5 deg, I = 255
- 57.9 deg, I = 94
- 58.3 deg, I = 189
- 67.8 deg, I = 108
- 77.0 deg, I = 77

Crystal structure
Cell lengths 8.7851, 8.7851, 7.8328 Å; angles 90.00, 90.00, 143.77 degrees
Sites, in units of the cell vectors:
1 La 0.0000 0.0000 0.0000
2 Pr 0.1750 0.8250 0.2498
3 Pr 0.1750 0.8250 0.7502
4 Pr 0.5000 0.5000 0.2762
5 Pr 0.5000 0.5000 0.7238
6 Pr 0.8250 0.1750 0.2498
7 Pr 0.8250 0.1750 0.7502
8 Hg 0.0000 0.0000 0.5000
9 Hg 0.3321 0.6679 0.5000
10 Hg 0.3471 0.6529 0.0000
11 Hg 0.6529 0.3471 0.0000
12 Hg 0.6679 0.3321 0.5000



Record 4
Diffraction record for La2TbPr2Hg5. The powder diffractogram is computed, not measured: it uses a cell relaxed with GGA-PBE and Cu Ka.

Top 10 peaks for 15 to 90 degrees two-theta, by angle:
- 31.8 deg, I = 1000
- 32.8 deg, I = 215
- 34.7 deg, I = 277
- 35.7 deg, I = 103
- 39.1 deg, I = 218
- 45.6 deg, I = 105
- 51.9 deg, I = 127
- 55.3 deg, I = 75
- 63.5 deg, I = 126
- 66.3 deg, I = 163

Crystal structure
Cell lengths 11.2577, 11.2577, 4.6082 Å; angles 90.00, 90.00, 90.00 degrees
Sites, in units of the cell vectors:
1 La 0.1744 0.3256 0.0000
2 La 0.3256 0.8256 0.0000
3 La 0.6744 0.1744 0.0000
4 La 0.8256 0.6744 0.0000
5 Tb 0.0000 0.0000 0.0000
6 Tb 0.5000 0.5000 0.0000
7 Pr 0.1305 0.6305 0.0000
8 Pr 0.3695 0.1305 0.0000
9 Pr 0.6305 0.8695 0.0000
10 Pr 0.8695 0.3695 0.0000
11 Hg 0.0000 0.5000 0.5000
12 Hg 0.0894 0.8238 0.5000
13 Hg 0.1762 0.0894 0.5000
14 Hg 0.3238 0.5894 0.5000
15 Hg 0.4106 0.3238 0.5000
16 Hg 0.5000 0.0000 0.5000
17 Hg 0.5894 0.6762 0.5000
18 Hg 0.6762 0.4106 0.5000
19 Hg 0.8238 0.9106 0.5000
20 Hg 0.9106 0.1762 0.5000



Record 5
Diffraction record for La2PrHgTe5. The powder diffractogram is computed, not measured: it uses a cell relaxed with GGA-PBE and Cu Ka.

Top 10 peaks for 15 to 90 degrees two-theta, by angle:
- 24.2 deg, I = 360
- 28.0 deg, I = 1000
- 28.3 deg, I = 834
- 28.4 deg, I = 569
- 28.8 deg, I = 655
- 33.0 deg, I = 901
- 33.6 deg, I = 686
- 36.0 deg, I = 574
- 36.9 deg, I = 389
- 40.1 deg, I = 977

Crystal structure
Cell lengths 9.8765, 9.8765, 13.8002 Å; angles 91.92, 91.92, 26.32 degrees
Sites, in units of the cell vectors:
1 La 0.0000 0.0000 0.0000
2 La 0.0018 0.0018 0.3734
3 La 0.7526 0.7526 0.8823
4 La 0.7551 0.7551 0.4996
5 Pr 0.0728 0.0728 0.6792
6 Pr 0.6922 0.6922 0.1844
7 Hg 0.3113 0.3113 0.2095
8 Hg 0.4299 0.4299 0.7151
9 Te 0.1726 0.1726 0.0155
10 Te 0.1743 0.1743 0.3553
11 Te 0.2380 0.2380 0.6855
12 Te 0.3736 0.3736 0.4030
13 Te 0.3819 0.3819 0.9028
14 Te 0.5232 0.5232 0.1832
15 Te 0.5735 0.5735 0.8461
16 Te 0.5826 0.5826 0.5164
17 Te 0.8457 0.8457 0.0874
18 Te 0.9176 0.9176 0.5898



Record 6
Diffraction record for La6Hg3Pt. The powder diffractogram is computed, not measured: it uses a cell relaxed with GGA-PBE and Cu Ka.

Top 10 peaks for 15 to 90 degrees two-theta, by angle:
- 29.2 deg, I = 632
- 29.5 deg, I = 300
- 30.0 deg, I = 288
- 32.0 deg, I = 575
- 32.9 deg, I = 1000
- 44.1 deg, I = 202
- 44.4 deg, I = 199
- 45.1 deg, I = 260
- 45.1 deg, I = 182
- 57.7 deg, I = 225

Crystal structure
Cell lengths 5.5883, 9.3408, 13.1672 Å; angles 90.00, 115.10, 90.00 degrees
Sites, in units of the cell vectors:
1 La 0.0573 0.1839 0.0592
2 La 0.0573 0.3161 0.5592
3 La 0.2443 0.5107 0.2408
4 La 0.2443 0.9893 0.7408
5 La 0.4357 0.1520 0.4389
6 La 0.4357 0.3480 0.9389
7 La 0.5643 0.6520 0.0611
8 La 0.5643 0.8480 0.5611
9 La 0.7557 0.0107 0.2592
10 La 0.7557 0.4893 0.7592
11 La 0.9427 0.6839 0.4408
12 La 0.9427 0.8161 0.9408
13 Hg 0.2275 0.6486 0.7312
14 Hg 0.2275 0.8514 0.2312
15 Hg 0.5000 0.0000 0.0000
16 Hg 0.5000 0.5000 0.5000
17 Hg 0.7725 0.1486 0.7688
18 Hg 0.7725 0.3514 0.2688
19 Pt 0.0000 0.0000 0.5000
20 Pt 0.0000 0.5000 0.0000



Record 7
Diffraction record for La5PuHg6. The powder diffractogram is computed, not measured: it uses a cell relaxed with GGA-PBE and Cu Ka.

Top 10 peaks for 15 to 90 degrees two-theta, by angle:
- 32.5 deg, I = 1000
- 32.7 deg, I = 492
- 46.4 deg, I = 94
- 46.9 deg, I = 91
- 47.0 deg, I = 91
- 57.9 deg, I = 195
- 58.3 deg, I = 383
- 68.1 deg, I = 120
- 77.1 deg, I = 85
- 78.0 deg, I = 83

Crystal structure
Cell lengths 5.4745, 7.8315, 8.6499 Å; angles 90.00, 108.31, 90.00 degrees
Sites, in units of the cell vectors:
1 La 0.0000 0.0000 0.0000
2 La 0.3309 0.0000 0.6615
3 La 0.3376 0.5000 0.6752
4 La 0.6624 0.5000 0.3248
5 La 0.6691 0.0000 0.3385
6 Pu 0.0000 0.5000 0.0000
7 Hg 0.1652 0.2549 0.3305
8 Hg 0.1652 0.7451 0.3305
9 Hg 0.5000 0.2485 0.0000
10 Hg 0.5000 0.7515 0.0000
11 Hg 0.8348 0.2549 0.6695
12 Hg 0.8348 0.7451 0.6695



Record 8
Diffraction record for La3PuHg4. The powder diffractogram is computed, not measured: it uses a cell relaxed with GGA-PBE and Cu Ka.

Top 10 peaks for 15 to 90 degrees two-theta, by angle:
- 32.6 deg, I = 512
- 32.7 deg, I = 1000
- 46.8 deg, I = 190
- 47.2 deg, I = 91
- 58.2 deg, I = 393
- 58.5 deg, I = 186
- 68.6 deg, I = 117
- 77.7 deg, I = 174
- 78.4 deg, I = 76
- 87.1 deg, I = 64

Crystal structure
Cell lengths 3.8860, 3.8860, 15.4140 Å; angles 90.00, 90.00, 90.00 degrees
Sites, in units of the cell vectors:
1 La 0.0000 0.0000 0.0000
2 La 0.0000 0.0000 0.2559
3 La 0.0000 0.0000 0.7441
4 Pu 0.0000 0.0000 0.5000
5 Hg 0.5000 0.5000 0.1272
6 Hg 0.5000 0.5000 0.3818
7 Hg 0.5000 0.5000 0.6182
8 Hg 0.5000 0.5000 0.8728